Starting from a structure optimized by DFT (GGA-PBE), the X-ray powder pattern of Na2PmAgSb2 was simulated for Cu Ka.
Neutral-atom scattering factors, no anomalous dispersion.

Top 12 peaks for 10 to 80 degrees two-theta, in order of rising 2θ:
d 5.929, 2θ 14.94, I 26, (0 1 1)
d 3.626, 2θ 24.55, I 38, (1 1 1)
d 2.992, 2θ 29.86, I 39, (1 2 1)
d 2.964, 2θ 30.15, I 54, (1 0 2)
d 2.820, 2θ 31.73, I 100, (1 1 2)
d 2.544, 2θ 35.29, I 62, (1 3 0)
d 2.490, 2θ 36.07, I 26, (0 1 3)
d 2.292, 2θ 39.31, I 47, (2 0 0)
d 2.255, 2θ 39.98, I 36, (0 2 3)
d 2.190, 2θ 41.23, I 23, (1 1 3)
d 1.983, 2θ 45.76, I 24, (1 4 1)
d 1.607, 2θ 57.32, I 35, (2 2 3)

```
data_Na2PmAgSb2
_chemical_formula_sum 'Na4 Pm2 Ag2 Sb4'
_space_group_name_H-M_alt 'P m c 21'
_space_group_IT_number 26
_space_group_name_Hall 'P 2c -2'
_cell_length_a 4.583
_cell_length_b 9.173
_cell_length_c 7.769
_cell_angle_alpha 90.00
_cell_angle_beta 90.00
_cell_angle_gamma 90.00
loop_
_atom_site_label
_atom_site_type_symbol
_atom_site_fract_x
_atom_site_fract_y
_atom_site_fract_z
_atom_site_occupancy
Na1 Na 0.000 0.072 0.000 1
Na2 Na 0.500 0.165 0.322 1
Pm1 Pm 0.500 0.445 0.935 1
Ag1 Ag 0.000 0.318 0.603 1
Sb1 Sb 0.000 0.382 0.222 1
Sb2 Sb 0.500 0.162 0.719 1
```